No. 1
Computed powder X-ray diffraction pattern
Compound: FeH6Se
Radiation: copper Kα
Structure: a crystal structure in OQMD, relaxed with GGA-PBE
No peak broadening, texture or thermal motion is included.

Structural model:
```
data_FeH6Se
_symmetry_space_group_name_H-M 'P 1 m 1'
_symmetry_Int_Tables_number 6
_symmetry_space_group_name_Hall 'P -2y'
_cell_length_a 2.714
_cell_length_b 4.523
_cell_length_c 4.733
_cell_angle_alpha 90.00
_cell_angle_beta 103.86
_cell_angle_gamma 90.00
loop_
_atom_site_label
_atom_site_fract_x
_atom_site_fract_y
_atom_site_fract_z
Fe1 0.000 0.000 0.000
H1 0.100 0.000 0.332
H2 0.602 0.000 0.195
H3 0.625 0.213 0.780
H4 0.944 0.227 0.731
Se1 0.144 0.500 0.258
```

Main lines, low angle first (5 to 70 degrees two-theta):
| 2θ (°) | intensity | (hkl) |
| --- | --- | --- |
| 19.32 | 100 | 0 0 1 |
| 27.68 | 94 | 0 1 1 |
| 34.02 | 42 | 1 0 0 |
| 34.96 | 43 | 1 0 -1 |
| 39.87 | 32 | 0 2 0 |
| 44.22 | 47 | 0 1 2 |
| 44.66 | 25 | 0 2 1 |
| 48.13 | 34 | 1 1 1 |
| 50.24 | 28 | 1 1 -2 |
| 54.05 | 23 | 1 2 -1 |

***

No. 2
Computed powder X-ray diffraction pattern
Compound: Fe2H2Se
Radiation: copper Kα
Structure: a crystal structure in OQMD, relaxed with GGA-PBE
No peak broadening, texture or thermal motion is included.

Structural model:
```
data_Fe2H2Se
_symmetry_space_group_name_H-M 'A m m 2'
_symmetry_Int_Tables_number 38
_symmetry_space_group_name_Hall 'A 2 -2'
_cell_length_a 3.031
_cell_length_b 3.544
_cell_length_c 7.907
_cell_angle_alpha 90.00
_cell_angle_beta 90.00
_cell_angle_gamma 90.00
loop_
_atom_site_label
_atom_site_fract_x
_atom_site_fract_y
_atom_site_fract_z
Fe1 0.000 0.000 0.000
Fe2 0.500 0.000 0.290
H1 0.000 0.249 0.821
Se1 0.500 0.000 0.588
```

Main lines, low angle first (5 to 70 degrees two-theta):
| 2θ (°) | intensity | (hkl) |
| --- | --- | --- |
| 22.49 | 20 | 0 0 2 |
| 29.47 | 18 | 1 0 0 |
| 37.38 | 24 | 1 0 2 |
| 40.80 | 100 | 1 1 1 |
| 42.76 | 57 | 0 1 3 |
| 45.91 | 13 | 0 0 4 |
| 51.58 | 23 | 0 2 0 |
| 52.78 | 34 | 1 1 3 |
| 55.50 | 17 | 1 0 4 |
| 61.15 | 14 | 2 0 0 |

***

No. 3
Computed powder X-ray diffraction pattern
Compound: Fe3SiH
Radiation: copper Kα
Structure: a crystal structure in OQMD, relaxed with GGA-PBE
No peak broadening, texture or thermal motion is included.

Structural model:
```
data_Fe3SiH
_symmetry_space_group_name_H-M 'I 4/m c m'
_symmetry_Int_Tables_number 140
_symmetry_space_group_name_Hall '-I 4 2c'
_cell_length_a 4.908
_cell_length_b 4.908
_cell_length_c 7.435
_cell_angle_alpha 90.00
_cell_angle_beta 90.00
_cell_angle_gamma 90.00
loop_
_atom_site_label
_atom_site_fract_x
_atom_site_fract_y
_atom_site_fract_z
Fe1 0.000 0.000 0.250
Fe2 0.192 0.308 0.000
Si1 0.000 0.500 0.250
H1 0.000 0.000 0.000
```

Main lines, low angle first (5 to 70 degrees two-theta):
| 2θ (°) | intensity | (hkl) |
| --- | --- | --- |
| 23.94 | 4 | 0 0 2 |
| 25.67 | 2 | 1 1 0 |
| 35.38 | 12 | 1 1 2 |
| 42.96 | 38 | 2 1 1 |
| 44.22 | 100 | 2 0 2 |
| 49.01 | 25 | 0 0 4 |
| 52.75 | 22 | 2 2 0 |
| 55.96 | 16 | 2 1 3 |
| 58.72 | 1 | 2 2 2 |
| 59.56 | 6 | 3 1 0 |

***

No. 4
Computed powder X-ray diffraction pattern
Compound: Zr2FeH5
Radiation: copper Kα
Structure: a crystal structure in OQMD, relaxed with GGA-PBE
No peak broadening, texture or thermal motion is included.

Structural model:
```
data_Zr2FeH5
_symmetry_space_group_name_H-M 'P 4/n c c'
_symmetry_Int_Tables_number 130
_cell_length_a 6.875
_cell_length_b 6.875
_cell_length_c 5.599
_cell_angle_alpha 90.00
_cell_angle_beta 90.00
_cell_angle_gamma 90.00
loop_
_symmetry_equiv_pos_as_xyz
'x,y,z'
'-x,-y,-z'
'-y+1/2,x,z'
'y+1/2,-x,-z'
'-x+1/2,-y+1/2,z'
'x+1/2,y+1/2,-z'
'y,-x+1/2,z'
'-y,x+1/2,-z'
'x+1/2,-y,-z+1/2'
'-x+1/2,y,z+1/2'
'-y,-x,-z+1/2'
'y,x,z+1/2'
'-x,y+1/2,-z+1/2'
'x,-y+1/2,z+1/2'
'y+1/2,x+1/2,-z+1/2'
'-y+1/2,-x+1/2,z+1/2'
loop_
_atom_site_label
_atom_site_fract_x
_atom_site_fract_y
_atom_site_fract_z
Zr1 0.088 0.588 0.250
Fe1 0.250 0.250 0.009
H1 0.036 0.167 0.573
H2 0.250 0.750 0.000
```

Main lines, low angle first (5 to 70 degrees two-theta):
| 2θ (°) | intensity | (hkl) |
| --- | --- | --- |
| 31.97 | 10 | 0 0 2 |
| 33.24 | 100 | 2 1 1 |
| 37.04 | 31 | 1 1 2 |
| 41.57 | 58 | 3 1 0 |
| 57.68 | 16 | 4 1 1 |
| 57.79 | 20 | 2 1 3 |
| 60.19 | 5 | 4 2 0 |
| 63.51 | 11 | 4 0 2 |
| 66.69 | 18 | 3 3 2 |
| 66.84 | 5 | 0 0 4 |

***

No. 5
Computed powder X-ray diffraction pattern
Compound: Hf2Fe3Mo4N3
Radiation: copper Kα
Structure: a crystal structure in OQMD, relaxed with GGA-PBE
No peak broadening, texture or thermal motion is included.

Structural model:
```
data_Hf2Fe3Mo4N3
_symmetry_space_group_name_H-M 'C 1 2/c 1'
_symmetry_Int_Tables_number 15
_symmetry_space_group_name_Hall '-C 2yc'
_cell_length_a 9.003
_cell_length_b 5.236
_cell_length_c 13.400
_cell_angle_alpha 90.00
_cell_angle_beta 102.93
_cell_angle_gamma 90.00
loop_
_atom_site_label
_atom_site_fract_x
_atom_site_fract_y
_atom_site_fract_z
Hf1 0.043 0.082 0.381
Fe1 0.000 0.417 0.750
Fe2 0.249 0.165 0.750
Mo1 0.113 0.430 0.587
Mo2 0.214 0.412 0.913
N1 0.074 0.220 0.000
N2 0.250 0.250 0.500
```

Main lines, low angle first (5 to 70 degrees two-theta):
| 2θ (°) | intensity | (hkl) |
| --- | --- | --- |
| 27.31 | 21 | 0 0 4 |
| 34.45 | 16 | 3 1 -1 |
| 34.96 | 18 | 0 2 1 |
| 35.15 | 39 | 3 1 0 |
| 40.19 | 49 | 0 2 3 |
| 40.36 | 100 | 3 1 -4 |
| 41.50 | 25 | 0 0 6 |
| 44.51 | 21 | 3 1 3 |
| 61.46 | 17 | 3 3 -1 |
| 68.51 | 19 | 3 3 3 |

***

No. 6
Computed powder X-ray diffraction pattern
Compound: PmHfFe
Radiation: copper Kα
Structure: a crystal structure in OQMD, relaxed with GGA-PBE
No peak broadening, texture or thermal motion is included.

Structural model:
```
data_PmHfFe
_symmetry_space_group_name_H-M 'F -4 3 m'
_symmetry_Int_Tables_number 216
_symmetry_space_group_name_Hall 'F -4 2 3'
_cell_length_a 6.443
_cell_length_b 6.443
_cell_length_c 6.443
_cell_angle_alpha 90.00
_cell_angle_beta 90.00
_cell_angle_gamma 90.00
loop_
_atom_site_label
_atom_site_fract_x
_atom_site_fract_y
_atom_site_fract_z
Pm1 0.000 0.000 0.000
Hf1 0.000 0.000 0.500
Fe1 0.250 0.250 0.750
```

Main lines, low angle first (5 to 70 degrees two-theta):
| 2θ (°) | intensity | (hkl) |
| --- | --- | --- |
| 23.92 | 8 | 1 1 1 |
| 27.69 | 61 | 2 0 0 |
| 39.56 | 100 | 2 2 0 |
| 46.76 | 4 | 3 1 1 |
| 48.98 | 18 | 2 2 2 |
| 57.19 | 17 | 4 0 0 |
| 62.87 | 1 | 3 3 1 |
| 64.70 | 23 | 4 2 0 |

***

No. 7
Computed powder X-ray diffraction pattern
Compound: HfTaFeSi
Radiation: copper Kα
Structure: a crystal structure in OQMD, relaxed with GGA-PBE
No peak broadening, texture or thermal motion is included.

Structural model:
```
data_HfTaFeSi
_symmetry_space_group_name_H-M 'F -4 3 m'
_symmetry_Int_Tables_number 216
_symmetry_space_group_name_Hall 'F -4 2 3'
_cell_length_a 6.274
_cell_length_b 6.274
_cell_length_c 6.274
_cell_angle_alpha 90.00
_cell_angle_beta 90.00
_cell_angle_gamma 90.00
loop_
_atom_site_label
_atom_site_fract_x
_atom_site_fract_y
_atom_site_fract_z
Hf1 0.000 0.000 0.000
Ta1 0.250 0.250 0.250
Fe1 0.250 0.250 0.750
Si1 0.000 0.000 0.500
```

Main lines, low angle first (5 to 70 degrees two-theta):
| 2θ (°) | intensity | (hkl) |
| --- | --- | --- |
| 24.58 | 45 | 1 1 1 |
| 28.45 | 1 | 2 0 0 |
| 40.67 | 100 | 2 2 0 |
| 48.10 | 23 | 3 1 1 |
| 58.88 | 17 | 4 0 0 |
| 64.77 | 10 | 3 3 1 |

***

No. 8
Computed powder X-ray diffraction pattern
Compound: HfZnFeSi
Radiation: copper Kα
Structure: a crystal structure in OQMD, relaxed with GGA-PBE
No peak broadening, texture or thermal motion is included.

Structural model:
```
data_HfZnFeSi
_symmetry_space_group_name_H-M 'F -4 3 m'
_symmetry_Int_Tables_number 216
_symmetry_space_group_name_Hall 'F -4 2 3'
_cell_length_a 6.066
_cell_length_b 6.066
_cell_length_c 6.066
_cell_angle_alpha 90.00
_cell_angle_beta 90.00
_cell_angle_gamma 90.00
loop_
_atom_site_label
_atom_site_fract_x
_atom_site_fract_y
_atom_site_fract_z
Hf1 0.000 0.000 0.000
Zn1 0.250 0.250 0.250
Fe1 0.250 0.250 0.750
Si1 0.000 0.000 0.500
```

Main lines, low angle first (5 to 70 degrees two-theta):
| 2θ (°) | intensity | (hkl) |
| --- | --- | --- |
| 25.43 | 48 | 1 1 1 |
| 29.45 | 6 | 2 0 0 |
| 42.13 | 100 | 2 2 0 |
| 49.86 | 25 | 3 1 1 |
| 52.24 | 2 | 2 2 2 |
| 61.10 | 16 | 4 0 0 |
| 67.27 | 10 | 3 3 1 |
| 69.27 | 3 | 4 2 0 |